Theoretical XRD peak list
Compound: Ca12Al14O33
Radiation: Cu Kα, 1.54184 Å
Structure: a PBE-relaxed structure
Peak positions follow from Bragg's law for the DFT cell and can differ from measured ones.

Largest 10 diffraction maxima, sorted by position, 10° ≤ 2θ ≤ 90°:
17.98 deg, I 100.0
27.57 deg, I 13.1
29.49 deg, I 21.6
29.74 deg, I 14.4
33.09 deg, I 62.2
33.29 deg, I 19.3
36.38 deg, I 31.0
40.82 deg, I 19.6
46.25 deg, I 20.7
57.20 deg, I 13.5

```
59
Lattice="-6.058 6.058 6.008 6.058 -6.058 6.008 6.058 6.058 -6.008" Properties=species:S:1:pos:R:3 pbc="T T T"
Ca 6.058 0.000 0.170
Ca 1.641 2.987 -1.483
Ca 7.410 3.068 -1.481
Ca 0.000 0.000 2.131
Ca 9.130 1.641 1.483
Ca 6.058 0.000 5.838
Ca 3.068 4.706 1.481
Ca -1.352 2.991 4.527
Ca 4.418 3.072 4.525
Ca 2.991 1.352 7.488
Ca 0.000 0.000 9.885
Ca -3.072 4.418 7.491
Al 3.025 4.534 7.518
Al 4.534 -3.025 4.497
Al 3.034 1.525 1.510
Al 2.794 -0.202 4.289
Al 3.264 6.260 -1.719
Al 0.217 3.267 1.289
Al 5.857 3.264 1.719
Al 0.000 0.000 6.008
Al 1.525 9.083 -1.510
Al 0.000 6.058 3.004
Al -0.217 8.850 1.289
Al 0.202 2.794 7.726
Al -2.791 5.841 4.719
Al 2.791 6.275 4.719
O 0.000 0.000 0.000
O 3.735 0.448 0.304
O 9.447 1.858 -0.874
O 3.494 -1.787 3.798
O 3.731 5.632 -3.324
O 6.873 2.207 0.762
O 2.327 0.426 2.684
O 5.610 -2.324 5.703
O 1.858 2.670 0.874
O 1.292 -0.726 5.057
O 2.207 5.244 -0.762
O -0.844 2.352 2.315
O 4.271 2.564 2.209
O 2.564 7.846 -2.209
O 5.333 4.766 0.950
O 4.766 6.784 -0.950
O 3.852 0.814 5.245
O 0.700 4.880 1.909
O 6.485 3.731 3.324
O 0.448 8.382 -0.304
O 0.726 1.292 6.958
O 3.706 5.214 3.693
O -0.700 7.237 1.909
O -3.389 4.200 5.134
O -1.178 5.359 4.099
O 4.200 3.389 6.882
O -3.706 6.903 3.693
O -0.814 3.852 6.770
O 1.178 6.758 4.099
O -0.426 2.327 9.332
O 1.787 3.494 8.217
O 2.324 5.610 6.312
O 0.844 9.765 2.315
```